TaMnNO2: theoretical powder XRD pattern (Cu Kα (λ = 1.5418 Å)), based on a DFT-relaxed cell (GGA+U, Alexandria).

Peak list (10 most intense, 2θ = 5–70°, by angle)
- 22.59 deg, I = 36
- 22.84 deg, I = 68
- 31.39 deg, I = 84
- 31.86 deg, I = 38
- 33.24 deg, I = 100
- 46.13 deg, I = 18
- 46.66 deg, I = 32
- 57.99 deg, I = 15
- 58.15 deg, I = 14
- 59.34 deg, I = 18

Structural model:
```
data_TaMnNO2
_cell_length_a 9.3193
_cell_length_b 5.4005
_cell_length_c 5.6371
_cell_angle_alpha 90.00
_cell_angle_beta 122.36
_cell_angle_gamma 90.00
_symmetry_space_group_name_H-M 'C 1 c 1'
_symmetry_Int_Tables_number 9
loop_
_symmetry_equiv_pos_as_xyz
'x,y,z'
'x,-y,z+1/2'
'x+1/2,y+1/2,z'
'x+1/2,-y+1/2,z+1/2'
loop_
_atom_site_label
_atom_site_fract_x
_atom_site_fract_y
_atom_site_fract_z
_atom_site_occupancy
Ta1 0.0000 0.2470 0.0000 1
Mn1 0.2691 0.2281 0.8299 1
N1 0.2343 0.1471 0.1863 1
O1 0.0343 0.4320 0.6895 1
O2 0.4260 0.4390 0.7144 1
```